1.
This entry pairs a crystal structure of La2Pr2SmDy with its theoretical powder diffraction line list. Radiation: Cu Kα X-rays. Structure: a cell relaxed with GGA-PBE.

Main lines, most intense first (10 to 90 degrees two-theta):
Position (°2θ)	I (rel.)	(hkl)
30.6	1000	1 3 0
54.5	266	0 6 0
30.7	214	2 0 0
43.9	213	0 4 2
60.7	184	2 0 4
72.5	95	4 2 2
77.9	88	3 3 4
54.6	84	3 3 0
63.9	78	4 0 0
39.9	72	2 0 2
86.0	70	4 0 4
88.9	63	5 3 0

Structure:
```
data_La2Pr2SmDy
_chemical_formula_sum 'La4 Pr4 Sm2 Dy2'
_cell_length_a 5.820
_cell_length_b 10.097
_cell_length_c 7.168
_cell_angle_alpha 90.00
_cell_angle_beta 90.00
_cell_angle_gamma 90.00
_symmetry_space_group_name_H-M 'P m c 21'
_symmetry_Int_Tables_number 26
loop_
_symmetry_equiv_pos_as_xyz
'x,y,z'
'-x,-y,z+1/2'
'-x,y,z'
'x,-y,z+1/2'
loop_
_atom_site_label
_atom_site_type_symbol
_atom_site_fract_x
_atom_site_fract_y
_atom_site_fract_z
La1 La 0.000 0.000 0.000
La2 La 0.500 0.173 0.250
Pr1 Pr 0.000 0.332 0.250
Pr2 Pr 0.500 0.165 0.750
Sm1 Sm 0.500 0.500 0.000
Dy1 Dy 0.000 0.339 0.750
```

***

2.
This entry pairs a crystal structure of HfCo3H with its theoretical powder diffraction line list. Radiation: Cu Kα X-rays. Structure: a cell relaxed with GGA-PBE.

Main lines, most intense first (10 to 90 degrees two-theta):
Position (°2θ)	I (rel.)	(hkl)
41.9	1000	2 1 0
49.4	313	0 2 0
87.4	227	2 3 0
24.1	210	1 0 1
70.8	190	2 2 -2
33.7	173	2 0 0
47.3	168	2 0 -2
84.1	108	4 1 -2
23.1	106	1 0 -1
72.5	100	2 2 2
34.4	89	1 1 1
61.1	69	3 1 1

Structure:
```
data_HfCo3H
_chemical_formula_sum 'Hf2 Co6 H2'
_cell_length_a 5.328
_cell_length_b 3.688
_cell_length_c 5.328
_cell_angle_alpha 90.00
_cell_angle_beta 92.43
_cell_angle_gamma 90.00
_symmetry_space_group_name_H-M 'P 1 m 1'
_symmetry_Int_Tables_number 6
loop_
_symmetry_equiv_pos_as_xyz
'x,y,z'
'x,-y,z'
loop_
_atom_site_label
_atom_site_type_symbol
_atom_site_fract_x
_atom_site_fract_y
_atom_site_fract_z
Hf1 Hf 0.000 0.000 0.000
Hf2 Hf 0.471 0.000 0.530
Co1 Co 0.234 0.500 0.267
Co2 Co 0.234 0.500 0.763
Co3 Co 0.492 0.000 0.021
Co4 Co 0.737 0.500 0.764
Co5 Co 0.739 0.500 0.268
Co6 Co 0.980 0.000 0.510
H1 H 0.486 0.500 0.018
H2 H 0.739 0.000 0.268
```

***

3.
This entry pairs a crystal structure of CsLiPmTe2 with its theoretical powder diffraction line list. Radiation: Cu Kα X-rays. Structure: a cell relaxed with GGA-PBE.

Main lines, most intense first (10 to 90 degrees two-theta):
Position (°2θ)	I (rel.)	(hkl)
24.1	1000	1 3 1
36.5	412	2 0 2
32.4	263	1 5 1
16.4	252	0 2 1
57.9	217	2 8 2
27.4	211	0 2 2
12.5	200	0 0 1
43.7	198	1 3 3
44.7	189	3 3 1
28.1	183	2 2 0
41.3	143	0 6 2
33.2	139	0 4 2

Structure:
```
data_CsLiPmTe2
_chemical_formula_sum 'Cs4 Li4 Pm4 Te8'
_cell_length_a 6.863
_cell_length_b 16.685
_cell_length_c 7.082
_cell_angle_alpha 90.00
_cell_angle_beta 90.00
_cell_angle_gamma 90.00
_symmetry_space_group_name_H-M 'C m m e'
_symmetry_Int_Tables_number 67
_symmetry_space_group_name_Hall '-C 2a 2'
loop_
_atom_site_label
_atom_site_type_symbol
_atom_site_fract_x
_atom_site_fract_y
_atom_site_fract_z
Cs1 Cs 0.000 0.250 0.240
Li1 Li 0.000 0.000 0.000
Pm1 Pm 0.250 0.000 0.500
Te1 Te 0.000 0.116 0.745
```